Computed X-ray diffraction stick pattern
Compound: Ag3BrF5
Radiation: λ = 1.5418 Å (Cu Kα)
Structure: the GGA-PBE geometry in Alexandria
Intensities are scaled so that the largest is 100.

Structure:
```
Ag3BrF5
1.0
5.636 -3.822 0.000
5.636 3.822 0.000
-4.627 0.000 8.137
Ag Br F
6 2 10
Cartesian
0.000 0.000 0.000
-2.313 0.000 4.068
2.167 0.000 2.768
-0.019 0.000 6.799
6.665 0.000 1.338
4.479 0.000 5.368
-2.575 0.000 6.630
9.221 0.000 1.507
1.140 1.365 1.554
-0.240 0.000 4.643
3.323 1.245 4.068
1.140 -1.365 1.554
4.560 0.000 0.809
2.086 0.000 7.327
5.506 1.365 6.582
3.323 -1.245 4.068
6.885 0.000 3.494
5.506 -1.365 6.582
```

Peak list (12 most intense, 10° ≤ 2θ ≤ 90°, by intensity)
2theta, Rel. int.
23.28, 100
20.34, 76
30.01, 45
41.78, 39
29.74, 38
42.36, 34
31.10, 25
54.34, 24
45.31, 23
54.82, 21
52.25, 21
45.13, 20

Computed X-ray diffraction stick pattern
Compound: Ac2TlSi
Radiation: λ = 1.5418 Å (Cu Kα)
Structure: the GGA-PBE geometry in Alexandria
Intensities are scaled so that the largest is 100.

Structure:
```
Ac2TlSi
1.0
6.598 0.000 0.000
0.000 4.411 0.000
-2.940 0.000 9.007
Ac Tl Si
4 2 2
Cartesian
0.063 1.103 3.766
1.621 3.308 0.552
2.037 1.103 8.455
3.595 3.308 5.241
0.318 3.308 6.411
3.340 1.103 2.596
-1.437 1.103 7.112
5.095 3.308 1.895
```

Peak list (12 most intense, 10° ≤ 2θ ≤ 90°, by intensity)
2theta, Rel. int.
28.28, 100
29.22, 27
36.99, 27
35.11, 26
35.31, 25
28.70, 21
40.92, 21
35.74, 21
28.46, 21
24.89, 20
56.33, 16
22.44, 16